# Nd5Dy4Tl4
Computed powder X-ray diffraction pattern, Cu Kα (weighted mean of Kα1 and Kα2). Input: the PBE geometry in Alexandria.

The 8 most intense peaks (15 to 90 degrees two-theta), low angle first:
2θ/deg  I_rel
30.98  100
31.67  11
34.15  16
35.24  23
36.26  15
51.46  11
60.61  15
65.76  13

Unit cell a=12.634 b=12.634 c=5.093 alpha=90.00 beta=90.00 gamma=90.00
Space group I4/m (No. 87)
Inequivalent atoms, fractional coordinates:
Nd (0.000, 0.000, 0.000) (multiplicity 2)
Nd (0.104, 0.807, 0.500) (multiplicity 8)
Dy (0.093, 0.602, 0.000) (multiplicity 8)
Tl (0.098, 0.238, 0.000) (multiplicity 8)